Structure and computed powder XRD pattern of Rb2MnSnO4 (the PBE+U geometry in Alexandria; Cu Kα (weighted mean of Kα1 and Kα2)).

The 10 most intense peaks (2θ = 5–70°), sorted by position:
- 17.9 deg, d 4.943, I 7.7
- 29.1 deg, d 3.071, I 41.0
- 29.7 deg, d 3.005, I 100.0
- 41.6 deg, d 2.171, I 20.3
- 43.5 deg, d 2.082, I 5.8
- 52.0 deg, d 1.760, I 40.2
- 53.2 deg, d 1.723, I 22.3
- 60.3 deg, d 1.535, I 6.4
- 61.7 deg, d 1.503, I 11.5
- 68.3 deg, d 1.374, I 7.4

Crystal structure
```
8
Lattice="4.3397 -4.1630 0.0000 4.3397 4.1630 0.0000 -4.3380 0.0000 4.3462" Properties=species:S:1:pos:R:3 pbc="T T T"
Rb 0.0000 0.0000 0.0000
Rb 2.1707 -2.0810 2.1731
Mn 2.1707 2.0878 2.1731
Sn 4.3397 0.0063 0.0000
O 2.7209 1.0747 0.4481
O -0.4465 -1.0579 2.7241
O 1.6204 1.0747 3.8981
O 4.7878 -1.0579 1.6221
```